Starting from the GGA+U geometry in Alexandria, the powder XRD pattern of Li3Fe4O3F5 was computed for a wavelength of 1.5418 Å.
Neutral-atom scattering factors, no anomalous dispersion.

Atomic structure:
Cell: 5.993 6.090 6.101 Å, 119.12 92.32 117.48°
Space group P1 (No. 1)
Symmetry-distinct sites (fractional):
Li 0.000 0.000 0.000 [1 per cell]
Li 0.011 0.495 0.484 [1 per cell]
Li 0.498 0.995 0.998 [1 per cell]
Fe 0.008 0.489 0.009 [1 per cell]
Fe 0.478 0.489 0.482 [1 per cell]
Fe 0.484 0.485 0.000 [1 per cell]
Fe 0.992 0.984 0.491 [1 per cell]
O 0.222 0.448 0.226 [1 per cell]
O 0.230 0.441 0.727 [1 per cell]
O 0.755 0.525 0.254 [1 per cell]
F 0.229 0.968 0.761 [1 per cell]
F 0.241 0.980 0.222 [1 per cell]
F 0.741 0.982 0.758 [1 per cell]
F 0.748 0.984 0.213 [1 per cell]
F 0.764 0.519 0.754 [1 per cell]

The 8 most intense peaks (2θ from 5° to 70°), low angle first:
- 2θ 17.6, I 498, hkl 0 1 -1
- 2θ 18.0, I 867, hkl 1 -1 0
- 2θ 20.0, I 469, hkl 0 1 0
- 2θ 21.2, I 450, hkl 1 -1 1
- 2θ 40.6, I 1000, hkl 0 2 0
- 2θ 41.4, I 956, hkl 2 0 -2
- 2θ 43.2, I 814, hkl 2 -2 2
- 2θ 58.9, I 273, hkl 2 2 -2